# NaCd5In
Calculated powder XRD pattern, a wavelength of 1.5418 Å. Input: DFT lattice parameters and positions (PBE).
Peak positions follow from Bragg's law for the DFT cell and can differ from measured ones.

Structure:
```
data_NaCd5In
_chemical_formula_sum 'Na1 Cd5 In1'
_space_group_name_H-M_alt 'P 1 2/m 1'
_space_group_IT_number 10
_space_group_name_Hall '-P 2y'
_cell_length_a 5.4193
_cell_length_b 6.2886
_cell_length_c 5.9397
_cell_angle_alpha 90.00
_cell_angle_beta 115.25
_cell_angle_gamma 90.00
loop_
_atom_site_label
_atom_site_type_symbol
_atom_site_fract_x
_atom_site_fract_y
_atom_site_fract_z
_atom_site_occupancy
Na1 Na 0.0000 0.0000 0.0000 1
Cd1 Cd 0.0000 0.5000 0.0000 1
Cd2 Cd 0.5000 0.2387 0.5000 1
Cd3 Cd 0.5000 0.2494 0.0000 1
In1 In 0.0000 0.5000 0.5000 1
```

The 6 most intense peaks (10 to 90 degrees two-theta), by angle:
14.08°, d 6.289, I 29.5, hkl 0 1 0
33.36°, d 2.686, I 52.5, hkl 0 0 2
33.87°, d 2.647, I 100.0, hkl 1 2 0
36.67°, d 2.451, I 40.4, hkl 2 0 0
37.68°, d 2.387, I 37.4, hkl 2 0 -2
42.05°, d 2.149, I 54.2, hkl 1 2 -2